No. 1
Diffraction record for Sr8AgPd2. The X-ray diffraction stick pattern is theoretical, not measured: it uses a DFT-relaxed cell (GGA-PBE, Alexandria) and Cu Ka.
Lines closer than 0.1° are merged.

Crystal structure
Cell lengths 9.6432, 9.6432, 6.4846 Å; angles 90.00, 90.00, 120.00 degrees
Fractional coordinates of all 11 atoms:
Sr1 0.1600 0.3218 0.2473
Sr2 0.1618 0.8400 0.2473
Sr3 0.3218 0.1618 0.7527
Sr4 0.3333 0.6667 0.7489
Sr5 0.6667 0.3333 0.2511
Sr6 0.6782 0.8382 0.2473
Sr7 0.8382 0.1600 0.7527
Sr8 0.8400 0.6782 0.7527
Ag1 0.0000 0.0000 0.5000
Pd1 0.3333 0.6667 0.2496
Pd2 0.6667 0.3333 0.7504

Largest 10 diffraction maxima, sorted by position, 2θ from 10° to 80°:
17.31°, I = 56.8, (1 0 1); 18.40°, I = 63.1, (1 1 0); 21.28°, I = 48.8, (2 0 0); 25.37°, I = 100.0, (2 0 1); 27.51°, I = 46.8, (0 0 2); 31.52°, I = 34.5, (2 1 1); 35.04°, I = 78.3, (0 2 2); 37.30°, I = 100.0, (2 2 0); 46.97°, I = 62.6, (2 2 2); 69.93°, I = 30.7, (2 2 4)

No. 2
Diffraction record for Y2GaNi. The X-ray diffraction stick pattern is theoretical, not measured: it uses a DFT-relaxed cell (GGA-PBE, Alexandria) and Cu Ka.
Lines closer than 0.1° are merged.

Crystal structure
Cell lengths 5.9003, 4.3190, 7.4541 Å; angles 90.00, 111.34, 90.00 degrees
Fractional coordinates of all 8 atoms:
Y1 0.1760 0.2500 0.4134
Y2 0.2727 0.7500 0.0684
Y3 0.7273 0.2500 0.9316
Y4 0.8240 0.7500 0.5866
Ga1 0.3777 0.7500 0.7087
Ga2 0.6223 0.2500 0.2913
Ni1 0.1700 0.2500 0.7885
Ni2 0.8300 0.7500 0.2115

Largest 10 diffraction maxima, sorted by position, 2θ from 10° to 80°:
31.83°, I = 76.7, (1 1 1); 32.59°, I = 33.9, (2 0 0); 33.11°, I = 100.0, (0 1 2); 33.42°, I = 41.3, (2 0 -2); 36.22°, I = 29.3, (1 0 -3); 38.84°, I = 71.7, (2 1 0); 39.56°, I = 47.7, (2 1 -2); 41.83°, I = 56.7, (0 2 0); 42.01°, I = 47.3, (1 1 -3); 47.88°, I = 34.5, (1 0 3)